Structure and computed powder diffractogram of TiB2ICl (a structure optimized by DFT (GGA-PBE); CuKα).
Neutral-atom scattering factors, no anomalous dispersion.

Crystal structure
```
TiB2ICl
1.0
4.5335 0.0000 0.0000
0.0000 4.5335 0.0000
0.0000 0.0000 5.2687
Ti B I Cl
1 2 1 1
Cartesian
0.0000 0.0000 0.0000
0.0000 2.2668 0.0000
2.2668 0.0000 0.0000
0.0000 0.0000 2.6343
2.2668 2.2668 2.6343
```

Largest 12 diffraction maxima, low angle first, 15° ≤ 2θ ≤ 90°:
- hkl 0 0 1, 2θ 16.83, I = 34
- hkl 1 0 0, 2θ 19.58, I = 100
- hkl 1 1 0, 2θ 27.83, I = 84
- hkl 1 1 1, 2θ 32.70, I = 50
- hkl 0 0 2, 2θ 34.03, I = 34
- hkl 1 0 2, 2θ 39.57, I = 33
- hkl 2 0 0, 2θ 39.77, I = 42
- hkl 1 1 2, 2θ 44.52, I = 45
- hkl 2 1 0, 2θ 44.70, I = 23
- hkl 2 0 2, 2θ 53.32, I = 34
- hkl 2 1 2, 2θ 57.35, I = 22
- hkl 3 1 2, 2θ 75.50, I = 18